Entry 1:
This entry pairs a crystal structure of Pr7Tm12Sc with its computed X-ray diffraction stick pattern. Radiation: Cu Kα (λ = 1.5418 Å). Structure: a crystal structure in Alexandria, relaxed with PBE.

Top 10 peaks for 2θ = 5–70°, low angle first:
h k l	2θ (°)	d_spacing	I/Imax
2 -1 3	22.25	3.995	10
0 1 5	28.89	3.091	14
0 3 3	30.90	2.894	34
1 3 1	31.87	2.808	100
2 0 5	32.66	2.742	18
4 -1 2	33.30	2.690	29
1 2 8	50.82	1.797	15
7 -4 2	55.56	1.654	17
4 3 4	59.21	1.561	14
2 6 2	66.57	1.405	9

Structure:
```
data_Pr7Tm12Sc
_cell_length_a 11.8747
_cell_length_b 11.8747
_cell_length_c 16.2030
_cell_angle_alpha 90.00
_cell_angle_beta 90.00
_cell_angle_gamma 120.00
_symmetry_space_group_name_H-M 'R -3'
_symmetry_Int_Tables_number 148
_symmetry_space_group_name_Hall '-R 3'
loop_
_atom_site_label
_atom_site_fract_x
_atom_site_fract_y
_atom_site_fract_z
_atom_site_occupancy
Pr1 0.0000 0.0000 0.0000 1
Pr2 0.0575 0.8719 0.2871 1
Tm1 0.0337 0.5792 0.2215 1
Tm2 0.0543 0.4698 0.5834 1
Sc1 0.0000 0.0000 0.5000 1
```

=====

Entry 2:
This entry pairs a crystal structure of PrTm7Sc3 with its computed X-ray diffraction stick pattern. Radiation: Cu Kα (λ = 1.5418 Å). Structure: a crystal structure in Alexandria, relaxed with PBE.

Top 10 peaks for 2θ = 5–70°, low angle first:
h k l	2θ (°)	d_spacing	I/Imax
0 0 1	10.77	8.217	37
0 0 2	21.63	4.108	13
2 0 0	29.90	2.988	13
2 0 1	31.86	2.808	100
0 0 3	32.70	2.739	27
0 2 2	37.20	2.417	62
2 2 0	53.08	1.725	21
2 0 4	54.18	1.693	23
0 4 1	63.26	1.470	14
2 2 3	63.75	1.460	23

Structure:
```
data_PrTm7Sc3
_cell_length_a 6.9015
_cell_length_b 6.9015
_cell_length_c 8.2167
_cell_angle_alpha 90.00
_cell_angle_beta 90.00
_cell_angle_gamma 120.00
_symmetry_space_group_name_H-M 'P 3 m 1'
_symmetry_Int_Tables_number 156
_symmetry_space_group_name_Hall 'P 3 -2"'
loop_
_atom_site_label
_atom_site_fract_x
_atom_site_fract_y
_atom_site_fract_z
_atom_site_occupancy
Pr1 0.0000 0.0000 0.0000 1
Tm1 0.0030 0.5015 0.9922 1
Tm2 0.3311 0.1656 0.3421 1
Tm3 0.3333 0.6667 0.3353 1
Sc1 0.1684 0.3368 0.6646 1
```

=====

Entry 3:
This entry pairs a crystal structure of Pr2Tm6Sc with its computed X-ray diffraction stick pattern. Radiation: Cu Kα (λ = 1.5418 Å). Structure: a crystal structure in Alexandria, relaxed with PBE.

Top 10 peaks for 2θ = 5–70°, low angle first:
h k l	2θ (°)	d_spacing	I/Imax
2 -1 1	31.66	2.826	95
3 0 0	32.37	2.765	100
0 2 1	33.50	2.675	18
3 -1 1	38.55	2.336	12
2 2 1	45.91	1.977	31
5 -2 1	54.91	1.672	14
5 -4 1	57.29	1.608	29
3 3 0	57.74	1.597	16
3 0 2	62.84	1.479	24
6 0 0	67.77	1.383	9

Structure:
```
data_Pr2Tm6Sc
_cell_length_a 9.5798
_cell_length_b 9.5798
_cell_length_c 3.5003
_cell_angle_alpha 90.00
_cell_angle_beta 90.00
_cell_angle_gamma 120.00
_symmetry_space_group_name_H-M 'P -3'
_symmetry_Int_Tables_number 147
_symmetry_space_group_name_Hall '-P 3'
loop_
_atom_site_label
_atom_site_fract_x
_atom_site_fract_y
_atom_site_fract_z
_atom_site_occupancy
Pr1 0.3333 0.6667 0.2658 1
Tm1 0.0238 0.3400 0.7724 1
Sc1 0.0000 0.0000 0.5000 1
```